# Ti2V2GaS8
Theoretical X-ray diffraction stick pattern, Cu Kα (λ = 1.5418 Å). Input: the GGA-PBE geometry in the Materials Project.
Kinematic intensities with the Lorentz-polarization factor, no thermal factor.

Structure:
abc: 7.021 7.021 7.021
angles: 120.38 119.93 89.73
Sites, in units of the cell vectors:
Ti1 0.226 0.000 0.226
Ti2 0.774 0.000 0.774
V1 0.219 0.000 0.782
V2 0.219 0.437 0.218
Ga1 0.611 0.611 0.000
S1 0.015 0.740 0.275
S2 0.466 0.740 0.725
S3 0.470 0.207 0.737
S4 0.470 0.734 0.263
S5 0.488 0.235 0.253
S6 0.981 0.230 0.249
S7 0.981 0.732 0.751
S8 0.982 0.235 0.747

Principal peaks in the range 10 to 90 degrees two-theta, sorted by position:
2θ (°)	intensity
15.5	40
17.9	38
25.4	22
29.8	72
30.0	37
36.1	34
36.3	68
47.5	22
47.6	19
47.8	23
52.1	100
52.4	20